This entry pairs a crystal structure of Cs3FeS3 with its simulated XRD peak list. Radiation: Cu Kα X-rays. Structure: a structure optimized by DFT (GGA-PBE).
Peak positions follow from Bragg's law for the DFT cell and can differ from measured ones.

Peak list (6 most intense, 10 to 80 degrees two-theta, low angle first)
| Position (°2θ) | I (rel.) | hkl |
| --- | --- | --- |
| 22.38 | 100 | 3 1 2 |
| 23.51 | 50 | 1 1 3 |
| 25.81 | 70 | 2 2 1 |
| 26.65 | 54 | 0 0 4 |
| 27.69 | 43 | 6 0 0 |
| 30.45 | 38 | 4 2 1 |

Structure:
Cell lengths 19.3296, 7.6899, 13.3793 Å; angles 90.00, 90.00, 90.00 degrees
Space group Cmce (No. 64)
Symmetry-distinct sites (fractional):
Cs 0.0000 0.1164 0.1822 x8
Cs 0.1776 0.1750 0.8752 x16
Fe 0.0729 0.0000 0.5000 x8
S 0.0000 0.2057 0.4387 x8
S 0.1395 0.1279 0.6175 x16

This entry pairs a crystal structure of CsFe4Sb12 with its simulated XRD peak list. Radiation: Cu Kα X-rays. Structure: a structure optimized by DFT (GGA-PBE).
Peak positions follow from Bragg's law for the DFT cell and can differ from measured ones.

Peak list (6 most intense, 10 to 80 degrees two-theta, low angle first)
| Position (°2θ) | I (rel.) | hkl |
| --- | --- | --- |
| 30.46 | 100 | 3 0 1 |
| 36.22 | 46 | 3 1 2 |
| 48.03 | 21 | 4 2 2 |
| 50.12 | 24 | 4 3 1 |
| 57.95 | 14 | 5 3 0 |
| 68.59 | 18 | 6 1 3 |

Structure:
Cell lengths 9.2800, 9.2800, 9.2800 Å; angles 90.00, 90.00, 90.00 degrees
Space group Im-3 (No. 204)
Symmetry-distinct sites (fractional):
Cs 0.0000 0.0000 0.0000 x2
Fe 0.2500 0.2500 0.2500 x8
Sb 0.0000 0.3392 0.1636 x24

This entry pairs a crystal structure of Cs3FeSe3 with its simulated XRD peak list. Radiation: Cu Kα X-rays. Structure: a structure optimized by DFT (GGA-PBE).
Peak positions follow from Bragg's law for the DFT cell and can differ from measured ones.

Peak list (6 most intense, 10 to 80 degrees two-theta, low angle first)
| Position (°2θ) | I (rel.) | hkl |
| --- | --- | --- |
| 22.52 | 49 | 1 1 3 |
| 25.05 | 75 | 0 0 4 |
| 25.66 | 100 | 6 0 0 |
| 25.74 | 100 | 2 2 1 |
| 29.79 | 71 | 4 2 1 |
| 36.16 | 77 | 6 0 4 |

Structure:
Cell lengths 20.8282, 7.5952, 14.2207 Å; angles 90.00, 90.00, 90.00 degrees
Space group Cmce (No. 64)
Symmetry-distinct sites (fractional):
Cs 0.0000 0.1444 0.1685 x8
Cs 0.1758 0.1620 0.8713 x16
Fe 0.0807 0.0000 0.5000 x8
Se 0.0000 0.1963 0.4246 x8
Se 0.1473 0.1485 0.6115 x16